1.
Simulated X-ray powder pattern
Compound: KTmC2O6
Radiation: Cu Kα (weighted mean of Kα1 and Kα2)
Structure: the PBE geometry in the Materials Project
Intensities are scaled so that the largest is 100.

Most intense lines, 2θ = 15–90°, by angle:
hkl, 2theta, I (rel.)
1 1 -1, 17.0, 28
2 0 0, 22.4, 34
0 2 1, 23.3, 52
1 1 -2, 27.3, 30
0 0 2, 27.5, 60
2 2 -1, 28.8, 100
3 1 0, 35.2, 22
2 2 1, 35.9, 34
2 2 -3, 44.2, 48
2 0 -4, 52.7, 23

Atomic structure:
```
data_KTmC2O6
_cell_length_a 8.494
_cell_length_b 9.456
_cell_length_c 6.960
_cell_angle_alpha 90.00
_cell_angle_beta 110.98
_cell_angle_gamma 90.00
_space_group_name_H-M_alt 'C 1 2/c 1'
_space_group_IT_number 15
_space_group_name_Hall '-C 2yc'
loop_
_atom_site_label
_atom_site_fract_x
_atom_site_fract_y
_atom_site_fract_z
K1 0.000 0.120 0.250
Tm1 0.000 0.404 0.750
C1 0.232 0.378 0.255
O1 0.084 0.383 0.103
O2 0.168 0.227 0.722
O3 0.235 0.017 0.618
```


2.
Simulated X-ray powder pattern
Compound: K3UC5O17
Radiation: Cu Kα (weighted mean of Kα1 and Kα2)
Structure: the PBE geometry in the Materials Project
Intensities are scaled so that the largest is 100.

Most intense lines, 2θ = 15–90°, by angle:
hkl, 2theta, I (rel.)
0 1 1, 15.2, 62
1 0 -2, 17.7, 100
-2 1 1, 18.3, 84
0 2 -1, 19.8, 59
1 1 -2, 20.5, 54
2 -1 1, 22.5, 70
2 0 -2, 22.6, 76
0 2 1, 24.1, 91
2 1 -2, 26.9, 70
1 -2 3, 31.6, 83

Atomic structure:
```
data_K3UC5O17
_cell_length_a 10.010
_cell_length_b 10.154
_cell_length_c 10.385
_cell_angle_alpha 96.54
_cell_angle_beta 105.02
_cell_angle_gamma 115.33
_space_group_name_H-M_alt 'P -1'
_space_group_IT_number 2
_space_group_name_Hall '-P 1'
loop_
_atom_site_label
_atom_site_fract_x
_atom_site_fract_y
_atom_site_fract_z
K1 0.074 0.049 0.357
K2 0.181 0.456 0.601
K3 0.256 0.671 0.026
U1 0.472 0.138 0.259
C1 0.174 0.111 0.001
C2 0.185 0.954 0.952
C3 0.208 0.860 0.559
C4 0.305 0.021 0.660
C5 0.448 0.416 0.455
O1 0.028 0.367 0.910
O2 0.050 0.478 0.284
O3 0.071 0.817 0.482
O4 0.081 0.134 0.914
O5 0.099 0.867 0.839
O6 0.174 0.557 0.266
O7 0.251 0.110 0.655
O8 0.266 0.185 0.122
O9 0.280 0.780 0.568
O10 0.290 0.948 0.048
O11 0.309 0.345 0.447
O12 0.351 0.039 0.355
O13 0.406 0.754 0.836
O14 0.411 0.416 0.836
O15 0.438 0.044 0.745
O16 0.449 0.531 0.151
O17 0.479 0.633 0.607
```


3.
Simulated X-ray powder pattern
Compound: K3UC5O17
Radiation: Cu Kα (weighted mean of Kα1 and Kα2)
Structure: the PBE geometry in the Materials Project
Intensities are scaled so that the largest is 100.

Most intense lines, 2θ = 15–90°, by angle:
hkl, 2theta, I (rel.)
0 1 1, 15.0, 43
1 0 -2, 17.1, 79
-2 1 1, 17.9, 100
1 1 -2, 20.0, 44
2 0 -2, 22.0, 55
0 2 1, 24.0, 39
2 1 -2, 26.4, 73
-3 2 2, 29.5, 43
1 -2 3, 30.8, 46
3 -3 0, 31.0, 58

Atomic structure:
```
data_K3UC5O17
_cell_length_a 10.184
_cell_length_b 10.333
_cell_length_c 10.722
_cell_angle_alpha 96.31
_cell_angle_beta 105.92
_cell_angle_gamma 116.39
_space_group_name_H-M_alt 'P -1'
_space_group_IT_number 2
_space_group_name_Hall '-P 1'
loop_
_atom_site_label
_atom_site_fract_x
_atom_site_fract_y
_atom_site_fract_z
K1 0.068 0.043 0.348
K2 0.187 0.455 0.597
K3 0.338 0.723 0.050
U1 0.469 0.144 0.258
C1 0.180 0.107 0.001
C2 0.192 0.964 0.956
C3 0.209 0.854 0.561
C4 0.309 0.014 0.661
C5 0.448 0.416 0.458
O1 0.016 0.451 0.982
O2 0.049 0.476 0.294
O3 0.072 0.812 0.485
O4 0.094 0.138 0.921
O5 0.107 0.873 0.845
O6 0.173 0.549 0.276
O7 0.260 0.104 0.656
O8 0.271 0.181 0.125
O9 0.278 0.775 0.569
O10 0.301 0.957 0.049
O11 0.310 0.343 0.451
O12 0.345 0.036 0.344
O13 0.403 0.738 0.825
O14 0.417 0.431 0.838
O15 0.440 0.036 0.747
O16 0.445 0.523 0.155
O17 0.481 0.633 0.600
```


4.
Simulated X-ray powder pattern
Compound: KYC4O12
Radiation: Cu Kα (weighted mean of Kα1 and Kα2)
Structure: the PBE geometry in the Materials Project
Intensities are scaled so that the largest is 100.

Most intense lines, 2θ = 15–90°, by angle:
hkl, 2theta, I (rel.)
2 0 0, 15.1, 100
1 1 2, 24.5, 38
3 0 1, 25.3, 59
4 0 0, 30.5, 64
1 3 2, 32.8, 49
3 3 2, 39.5, 41
3 0 3, 40.7, 22
5 1 2, 45.4, 38
3 5 2, 50.8, 20
5 5 2, 60.4, 20

Atomic structure:
```
data_KYC4O12
_cell_length_a 11.708
_cell_length_b 11.708
_cell_length_c 8.085
_cell_angle_alpha 90.00
_cell_angle_beta 90.00
_cell_angle_gamma 90.00
_space_group_name_H-M_alt 'I 41/a'
_space_group_IT_number 88
loop_
_space_group_symop_operation_xyz
'x,y,z'
'-x,-y,-z'
'-y+3/4,x+1/4,z+1/4'
'y+3/4,-x+1/4,-z+1/4'
'-x+1/2,-y,z+1/2'
'x+1/2,y,-z+1/2'
'y+3/4,-x+3/4,z+3/4'
'-y+3/4,x+3/4,-z+3/4'
'x+1/2,y+1/2,z+1/2'
'-x+1/2,-y+1/2,-z+1/2'
'-y+1/4,x+3/4,z+3/4'
'y+1/4,-x+3/4,-z+3/4'
'-x,-y+1/2,z'
'x,y+1/2,-z'
'y+1/4,-x+1/4,z+1/4'
'-y+1/4,x+1/4,-z+1/4'
loop_
_atom_site_label
_atom_site_fract_x
_atom_site_fract_y
_atom_site_fract_z
K1 0.000 0.250 0.125
Y1 0.000 0.250 0.625
C1 0.001 0.479 0.409
O1 0.001 0.128 0.390
O2 0.005 0.054 0.703
O3 0.181 0.467 0.089
```


What did the third record say?
Simulated X-ray powder pattern
Compound: K3UC5O17
Radiation: Cu Kα (weighted mean of Kα1 and Kα2)
Structure: the PBE geometry in the Materials Project
Intensities are scaled so that the largest is 100.

Most intense lines, 2θ = 15–90°, by angle:
hkl, 2theta, I (rel.)
0 1 1, 15.0, 43
1 0 -2, 17.1, 79
-2 1 1, 17.9, 100
1 1 -2, 20.0, 44
2 0 -2, 22.0, 55
0 2 1, 24.0, 39
2 1 -2, 26.4, 73
-3 2 2, 29.5, 43
1 -2 3, 30.8, 46
3 -3 0, 31.0, 58

Atomic structure:
```
data_K3UC5O17
_cell_length_a 10.184
_cell_length_b 10.333
_cell_length_c 10.722
_cell_angle_alpha 96.31
_cell_angle_beta 105.92
_cell_angle_gamma 116.39
_space_group_name_H-M_alt 'P -1'
_space_group_IT_number 2
_space_group_name_Hall '-P 1'
loop_
_atom_site_label
_atom_site_fract_x
_atom_site_fract_y
_atom_site_fract_z
K1 0.068 0.043 0.348
K2 0.187 0.455 0.597
K3 0.338 0.723 0.050
U1 0.469 0.144 0.258
C1 0.180 0.107 0.001
C2 0.192 0.964 0.956
C3 0.209 0.854 0.561
C4 0.309 0.014 0.661
C5 0.448 0.416 0.458
O1 0.016 0.451 0.982
O2 0.049 0.476 0.294
O3 0.072 0.812 0.485
O4 0.094 0.138 0.921
O5 0.107 0.873 0.845
O6 0.173 0.549 0.276
O7 0.260 0.104 0.656
O8 0.271 0.181 0.125
O9 0.278 0.775 0.569
O10 0.301 0.957 0.049
O11 0.310 0.343 0.451
O12 0.345 0.036 0.344
O13 0.403 0.738 0.825
O14 0.417 0.431 0.838
O15 0.440 0.036 0.747
O16 0.445 0.523 0.155
O17 0.481 0.633 0.600
```